1.
The following is a theoretical PXRD pattern of TbBe3Co3. It was derived from a GGA-PBE-relaxed structure, using Cu Kα.

Structure:
```
TbBe3Co3
1.0
5.713 0.000 0.000
0.000 5.713 0.000
0.000 0.000 5.713
Tb Be Co
2 6 6
direct
0.000 0.000 0.000
0.500 0.500 0.500
0.000 0.250 0.500
0.000 0.750 0.500
0.250 0.500 0.000
0.500 0.000 0.250
0.500 0.000 0.750
0.750 0.500 0.000
0.000 0.500 0.250
0.000 0.500 0.750
0.250 0.000 0.500
0.500 0.250 0.000
0.500 0.750 0.000
0.750 0.000 0.500
```

Principal peaks in the range 5 to 70 degrees two-theta, in order of falling intensity:
2θ (°)	I_rel
38.60	100
60.65	52
31.32	44
35.13	32
22.00	31
65.34	13
50.52	8
58.23	7


2.
The following is a theoretical PXRD pattern of TbBeCo. It was derived from a GGA-PBE-relaxed structure, using Cu Kα.

Structure:
```
TbBeCo
1.0
3.804 0.000 0.000
-1.902 3.295 0.000
0.000 0.000 3.903
Tb Be Co
1 1 1
direct
0.000 0.000 0.000
0.667 0.333 0.500
0.333 0.667 0.500
```

Principal peaks in the range 5 to 70 degrees two-theta, in order of falling intensity:
2θ (°)	I_rel
35.66	100
27.07	46
47.82	28
61.06	21
68.94	18
54.67	13
46.54	10
22.79	10


3.
The following is a theoretical PXRD pattern of BeCoTc. It was derived from a GGA-PBE-relaxed structure, using Cu Kα.

Structure:
```
BeCoTc
1.0
1.938 -4.432 0.000
1.938 4.432 0.000
0.000 0.000 3.828
Be Co Tc
2 2 2
direct
0.000 0.000 0.000
0.500 0.500 0.500
0.156 0.844 0.500
0.844 0.156 0.500
0.337 0.663 0.000
0.663 0.337 0.000
```

Principal peaks in the range 5 to 70 degrees two-theta, in order of falling intensity:
2θ (°)	I_rel
45.29	100
34.45	52
20.04	31
46.89	23
47.50	22
68.96	14
40.72	12
62.92	8